Entry 1:
Structure and theoretical powder diffraction line list of PmSm12Co6 (a crystal structure in Alexandria, relaxed with PBE; Cu Kα X-rays).
Peak positions follow from Bragg's law for the DFT cell and can differ from measured ones.

Main lines, sorted by position (2θ = 10–80°):
| 2theta | I (rel.) |
| --- | --- |
| 28.28 | 51 |
| 31.05 | 50 |
| 33.60 | 100 |
| 36.00 | 18 |
| 46.40 | 28 |
| 53.55 | 36 |
| 55.23 | 14 |
| 56.88 | 39 |
| 66.23 | 19 |
| 69.18 | 9 |

Cell and atoms:
```
data_PmSm12Co6
_chemical_formula_sum 'Pm2 Sm24 Co12'
_cell_length_a 9.9786
_cell_length_b 9.9786
_cell_length_c 9.9786
_cell_angle_alpha 90.00
_cell_angle_beta 90.00
_cell_angle_gamma 90.00
_symmetry_space_group_name_H-M 'I m -3'
_symmetry_Int_Tables_number 204
_symmetry_space_group_name_Hall '-I 2 2 3'
loop_
_atom_site_label
_atom_site_fract_x
_atom_site_fract_y
_atom_site_fract_z
_atom_site_occupancy
Pm1 0.0000 0.0000 0.0000 1
Sm1 0.0000 0.1946 0.3101 1
Co1 0.0000 0.3881 0.5000 1
```

Entry 2:
Structure and theoretical powder diffraction line list of Ce3Bi2Se (a crystal structure in Alexandria, relaxed with PBE; Cu Kα X-rays).
Peak positions follow from Bragg's law for the DFT cell and can differ from measured ones.

Main lines, sorted by position (2θ = 10–80°):
| 2theta | I (rel.) |
| --- | --- |
| 28.23 | 100 |
| 40.33 | 64 |
| 40.45 | 13 |
| 49.92 | 14 |
| 50.03 | 14 |
| 58.43 | 8 |
| 66.02 | 12 |
| 66.09 | 17 |
| 73.30 | 17 |
| 73.49 | 8 |

Cell and atoms:
```
data_Ce3Bi2Se
_chemical_formula_sum 'Ce48 Bi32 Se16'
_cell_length_a 8.9493
_cell_length_b 12.6617
_cell_length_c 26.7590
_cell_angle_alpha 90.00
_cell_angle_beta 90.00
_cell_angle_gamma 90.00
_symmetry_space_group_name_H-M 'F d d d'
_symmetry_Int_Tables_number 70
loop_
_symmetry_equiv_pos_as_xyz
'x,y,z'
'-x,-y,-z'
'-x+1/4,-y+1/4,z'
'x+1/4,y+1/4,-z'
'x,-y+1/4,-z+1/4'
'-x,y+1/4,z+1/4'
'-x+1/4,y,-z+1/4'
'x+1/4,-y,z+1/4'
'x,y+1/2,z+1/2'
'-x,-y+1/2,-z+1/2'
'-x+1/4,-y+3/4,z+1/2'
'x+1/4,y+3/4,-z+1/2'
'x,-y+3/4,-z+3/4'
'-x,y+3/4,z+3/4'
'-x+1/4,y+1/2,-z+3/4'
'x+1/4,-y+1/2,z+3/4'
'x+1/2,y,z+1/2'
'-x+1/2,-y,-z+1/2'
'-x+3/4,-y+1/4,z+1/2'
'x+3/4,y+1/4,-z+1/2'
'x+1/2,-y+1/4,-z+3/4'
'-x+1/2,y+1/4,z+3/4'
'-x+3/4,y,-z+3/4'
'x+3/4,-y,z+3/4'
'x+1/2,y+1/2,z'
'-x+1/2,-y+1/2,-z'
'-x+3/4,-y+3/4,z'
'x+3/4,y+3/4,-z'
'x+1/2,-y+3/4,-z+1/4'
'-x+1/2,y+3/4,z+1/4'
'-x+3/4,y+1/2,-z+1/4'
'x+3/4,-y+1/2,z+1/4'
loop_
_atom_site_label
_atom_site_fract_x
_atom_site_fract_y
_atom_site_fract_z
_atom_site_occupancy
Ce1 0.1058 0.3750 0.3750 1
Ce2 0.1160 0.3676 0.2118 1
Bi1 0.1250 0.1250 0.3773 1
Bi2 0.1250 0.1250 0.5443 1
Se1 0.1250 0.1250 0.0417 1
```

Entry 3:
Structure and theoretical powder diffraction line list of YCd4Pd (a crystal structure in Alexandria, relaxed with PBE; Cu Kα X-rays).
Peak positions follow from Bragg's law for the DFT cell and can differ from measured ones.

Main lines, sorted by position (2θ = 10–80°):
| 2theta | I (rel.) |
| --- | --- |
| 13.60 | 28 |
| 32.68 | 28 |
| 34.15 | 43 |
| 34.58 | 88 |
| 35.82 | 100 |
| 36.09 | 87 |
| 36.68 | 72 |
| 37.05 | 91 |
| 41.53 | 68 |
| 47.36 | 45 |

Cell and atoms:
```
data_YCd4Pd
_chemical_formula_sum 'Y4 Cd16 Pd4'
_cell_length_a 13.5472
_cell_length_b 7.4836
_cell_length_c 5.5418
_cell_angle_alpha 90.00
_cell_angle_beta 105.35
_cell_angle_gamma 90.00
_symmetry_space_group_name_H-M 'C 1 2/m 1'
_symmetry_Int_Tables_number 12
loop_
_symmetry_equiv_pos_as_xyz
'x,y,z'
'-x,-y,-z'
'-x,y,-z'
'x,-y,z'
'x+1/2,y+1/2,z'
'-x+1/2,-y+1/2,-z'
'-x+1/2,y+1/2,-z'
'x+1/2,-y+1/2,z'
loop_
_atom_site_label
_atom_site_fract_x
_atom_site_fract_y
_atom_site_fract_z
_atom_site_occupancy
Y1 0.2168 0.0000 0.1373 1
Cd1 0.0000 0.2053 0.0000 1
Cd2 0.1235 0.1897 0.5706 1
Cd3 0.1549 0.5000 0.2691 1
Pd1 0.0669 0.5000 0.7532 1
```

Entry 4:
Structure and theoretical powder diffraction line list of DyCd9Cu2 (a crystal structure in Alexandria, relaxed with PBE; Cu Kα X-rays).
Peak positions follow from Bragg's law for the DFT cell and can differ from measured ones.

Main lines, sorted by position (2θ = 10–80°):
| 2theta | I (rel.) |
| --- | --- |
| 30.14 | 13 |
| 34.38 | 100 |
| 37.45 | 16 |
| 40.52 | 42 |
| 40.62 | 10 |
| 42.44 | 13 |
| 43.55 | 7 |
| 61.54 | 17 |
| 69.34 | 8 |
| 72.37 | 9 |

Cell and atoms:
```
data_DyCd9Cu2
_chemical_formula_sum 'Dy4 Cd36 Cu8'
_cell_length_a 11.6792
_cell_length_b 11.6792
_cell_length_c 7.3622
_cell_angle_alpha 90.00
_cell_angle_beta 90.00
_cell_angle_gamma 90.00
_symmetry_space_group_name_H-M 'I 41/a m d'
_symmetry_Int_Tables_number 141
loop_
_symmetry_equiv_pos_as_xyz
'x,y,z'
'-x,-y,-z'
'-y+1/4,x+3/4,z+1/4'
'y+1/4,-x+3/4,-z+1/4'
'-x+1/2,-y,z+1/2'
'x+1/2,y,-z+1/2'
'y+1/4,-x+1/4,z+3/4'
'-y+1/4,x+1/4,-z+3/4'
'x,-y,-z'
'-x,y,z'
'-y+1/4,-x+1/4,-z+3/4'
'y+1/4,x+1/4,z+3/4'
'-x+1/2,y,-z+1/2'
'x+1/2,-y,z+1/2'
'y+1/4,x+3/4,-z+1/4'
'-y+1/4,-x+3/4,z+1/4'
'x+1/2,y+1/2,z+1/2'
'-x+1/2,-y+1/2,-z+1/2'
'-y+3/4,x+1/4,z+3/4'
'y+3/4,-x+1/4,-z+3/4'
'-x,-y+1/2,z'
'x,y+1/2,-z'
'y+3/4,-x+3/4,z+1/4'
'-y+3/4,x+3/4,-z+1/4'
'x+1/2,-y+1/2,-z+1/2'
'-x+1/2,y+1/2,z+1/2'
'-y+3/4,-x+3/4,-z+1/4'
'y+3/4,x+3/4,z+1/4'
'-x,y+1/2,-z'
'x,-y+1/2,z'
'y+3/4,x+1/4,-z+3/4'
'-y+3/4,-x+1/4,z+3/4'
loop_
_atom_site_label
_atom_site_fract_x
_atom_site_fract_y
_atom_site_fract_z
_atom_site_occupancy
Dy1 0.0000 0.2500 0.3750 1
Cd1 0.0000 0.2500 0.8750 1
Cd2 0.1208 0.0544 0.6779 1
Cu1 0.0000 0.0000 0.0000 1
```